Diffraction record for CoC4O6. The X-ray diffraction stick pattern is simulated, not measured: it uses a cell relaxed with GGA+U and a wavelength of 1.5418 Å.
Neutral-atom scattering factors, no anomalous dispersion.

Cell and atoms:
abc: 13.536 6.952 7.179
angles: 90.00 121.47 90.00
Space group C2/c (No. 15)
One atom of each set of equivalent atoms:
1 Co 0.250 0.250 0.000 [4 per cell]
2 C 0.043 0.119 0.341 [8 per cell]
3 C 0.143 0.106 0.559 [8 per cell]
4 O 0.135 0.348 0.015 [8 per cell]
5 O 0.137 0.217 0.695 [8 per cell]
6 O 0.229 0.004 0.109 [8 per cell]

Main lines, by angle (2θ from 10° to 90°):
hkl 1 1 0, 14.87°, I 19; hkl 2 0 0, 15.35°, I 100; hkl 1 1 -1, 17.76°, I 87; hkl 1 1 1, 23.48°, I 24; hkl 3 1 -1, 23.64°, I 96; hkl 0 0 2, 29.15°, I 24; hkl 2 2 -1, 29.61°, I 33; hkl 4 2 -2, 39.41°, I 15; hkl 2 0 2, 39.89°, I 15; hkl 1 3 -1, 40.92°, I 15